Rb3TaS4: calculated powder X-ray diffraction pattern (Cu Kα (λ = 1.5418 Å)), based on the PBE geometry in the Materials Project.
Neutral-atom scattering factors, no anomalous dispersion.

Structure:
```
data_Rb3TaS4
_cell_length_a 9.714
_cell_length_b 11.307
_cell_length_c 9.873
_cell_angle_alpha 90.00
_cell_angle_beta 90.00
_cell_angle_gamma 90.00
_symmetry_space_group_name_H-M 'P n m a'
_symmetry_Int_Tables_number 62
_symmetry_space_group_name_Hall '-P 2ac 2n'
loop_
_atom_site_label
_atom_site_type_symbol
_atom_site_fract_x
_atom_site_fract_y
_atom_site_fract_z
Rb1 Rb 0.054 0.044 0.211
Rb2 Rb 0.140 0.750 0.423
Ta1 Ta 0.218 0.750 0.987
S1 S 0.002 0.750 0.081
S2 S 0.167 0.083 0.551
S3 S 0.197 0.750 0.756
```

Main lines, sorted by position (2θ from 10° to 80°):
2θ 15.00, I 100, hkl 1 1 1
2θ 23.93, I 82, hkl 0 2 2
2θ 24.16, I 60, hkl 2 2 0
2θ 25.71, I 76, hkl 2 0 2
2θ 29.73, I 34, hkl 1 1 3
2θ 30.05, I 83, hkl 2 3 0
2θ 31.65, I 30, hkl 0 4 0
2θ 48.26, I 29, hkl 0 6 0